# 1
Simulated powder XRD pattern
Compound: DyTm3Ni4
Radiation: Cu Kα X-rays
Structure: a DFT-relaxed cell (PBE, OQMD)
Neutral-atom scattering factors, no anomalous dispersion.

Cell: 5.369 4.124 6.947 Å, 90.00 90.13 90.00°
Element x y z (fractional)
1 Dy 0.000 0.000 0.000
2 Tm 0.233 0.000 0.500
3 Tm 0.500 0.500 0.140
4 Tm 0.733 0.500 0.639
5 Ni 0.241 0.500 0.780
6 Ni 0.496 0.000 0.856
7 Ni 0.736 0.000 0.359
8 Ni 0.995 0.500 0.286

Largest 10 diffraction maxima, in order of rising 2θ, 2θ from 10° to 80°:
2θ = 27.27°, I 40
2θ = 30.20°, I 87
2θ = 30.66°, I 28
2θ = 33.74°, I 100
2θ = 35.86°, I 93
2θ = 37.78°, I 87
2θ = 42.22°, I 77
2θ = 42.52°, I 43
2θ = 43.91°, I 52
2θ = 57.93°, I 48

***

# 2
Simulated powder XRD pattern
Compound: SrAl5NiPd
Radiation: Cu Kα X-rays
Structure: a DFT-relaxed cell (PBE, OQMD)
Neutral-atom scattering factors, no anomalous dispersion.

Cell: 6.492 6.492 6.492 Å, 143.55 111.68 79.99°
Element x y z (fractional)
1 Sr 0.000 0.000 0.000
2 Al 0.156 0.338 0.818
3 Al 0.456 0.653 0.803
4 Al 0.491 0.991 0.500
5 Al 0.521 0.338 0.182
6 Al 0.851 0.653 0.197
7 Ni 0.261 0.761 0.500
8 Pd 0.734 0.234 0.500

Largest 10 diffraction maxima, in order of rising 2θ, 2θ from 10° to 80°:
2θ = 17.83°, I 21
2θ = 24.42°, I 43
2θ = 29.60°, I 28
2θ = 30.96°, I 100
2θ = 34.27°, I 52
2θ = 34.94°, I 26
2θ = 44.08°, I 44
2θ = 44.63°, I 30
2θ = 47.27°, I 47
2θ = 64.54°, I 28